Theoretical X-ray diffraction stick pattern of LaTcB4 for copper Kα, from a GGA-PBE-relaxed structure.
No peak broadening, texture or thermal motion is included.

Largest 10 diffraction maxima, by angle, 10 to 90 degrees two-theta:
2θ (°)  d (Å)  I/Imax
23.69  3.756  48
32.88  2.724  71
40.92  2.205  100
48.47  1.878  10
58.70  1.573  19
59.81  1.546  27
64.20  1.451  19
74.03  1.280  17
79.48  1.206  14
85.32  1.138  11

Atomic structure:
```
data_LaTcB4
_cell_length_a 3.1456
_cell_length_b 3.1456
_cell_length_c 7.5125
_cell_angle_alpha 90.00
_cell_angle_beta 90.00
_cell_angle_gamma 120.00
_space_group_name_H-M_alt 'P 1'
_space_group_IT_number 1
_space_group_name_Hall 'P 1'
loop_
_atom_site_label
_atom_site_type_symbol
_atom_site_fract_x
_atom_site_fract_y
_atom_site_fract_z
La1 La 0.0000 0.0000 0.0000
Tc1 Tc 0.0000 0.0000 0.5000
B1 B 0.3333 0.6667 0.2916
B2 B 0.3333 0.6667 0.7084
B3 B 0.6667 0.3333 0.2916
B4 B 0.6667 0.3333 0.7084
```


Theoretical X-ray diffraction stick pattern of Er9Fe10Ge10 for copper Kα, from a GGA-PBE-relaxed structure.
No peak broadening, texture or thermal motion is included.

Largest 10 diffraction maxima, by angle, 10 to 90 degrees two-theta:
2θ (°)  d (Å)  I/Imax
32.38  2.765  85
33.45  2.679  54
36.12  2.487  81
36.75  2.446  100
37.29  2.411  89
38.47  2.340  50
39.35  2.290  72
39.87  2.261  61
61.49  1.508  37
63.30  1.469  38

Atomic structure:
```
data_Er9Fe10Ge10
_cell_length_a 10.0216
_cell_length_b 10.0216
_cell_length_c 10.0216
_cell_angle_alpha 148.99
_cell_angle_beta 97.12
_cell_angle_gamma 91.09
_space_group_name_H-M_alt 'P 1'
_space_group_IT_number 1
_space_group_name_Hall 'P 1'
loop_
_atom_site_label
_atom_site_type_symbol
_atom_site_fract_x
_atom_site_fract_y
_atom_site_fract_z
Er1 Er 0.0000 0.0000 0.0000
Er2 Er 0.2177 0.3644 0.8533
Er3 Er 0.2796 0.0000 0.2796
Er4 Er 0.3027 0.8027 0.5000
Er5 Er 0.4889 0.6356 0.8533
Er6 Er 0.5111 0.3644 0.1467
Er7 Er 0.6973 0.1973 0.5000
Er8 Er 0.7204 0.0000 0.7204
Er9 Er 0.7823 0.6356 0.1467
Fe1 Fe 0.0109 0.4121 0.1145
Fe2 Fe 0.0109 0.8964 0.5988
Fe3 Fe 0.0939 0.5939 0.5000
Fe4 Fe 0.2976 0.4121 0.4012
Fe5 Fe 0.2976 0.8964 0.8855
Fe6 Fe 0.7024 0.1036 0.1145
Fe7 Fe 0.7024 0.5879 0.5988
Fe8 Fe 0.9061 0.4061 0.5000
Fe9 Fe 0.9891 0.1036 0.4012
Fe10 Fe 0.9891 0.5879 0.8855
Ge1 Ge 0.0820 0.7947 0.2873
Ge2 Ge 0.1712 0.5000 0.6712
Ge3 Ge 0.2076 0.2076 0.0000
Ge4 Ge 0.4925 0.2053 0.2873
Ge5 Ge 0.5000 0.2480 0.7480
Ge6 Ge 0.5000 0.7520 0.2520
Ge7 Ge 0.5075 0.7947 0.7127
Ge8 Ge 0.7924 0.7924 0.0000
Ge9 Ge 0.8288 0.5000 0.3288
Ge10 Ge 0.9180 0.2053 0.7127
```


Theoretical X-ray diffraction stick pattern of GdTmSi4Os2 for copper Kα, from a GGA-PBE-relaxed structure.
No peak broadening, texture or thermal motion is included.

Largest 10 diffraction maxima, by angle, 10 to 90 degrees two-theta:
2θ (°)  d (Å)  I/Imax
11.12  7.958  64
30.08  2.970  51
30.60  2.922  100
31.37  2.851  79
33.63  2.665  86
35.89  2.502  56
40.54  2.225  51
40.95  2.204  29
44.32  2.044  40
58.29  1.583  28

Atomic structure:
```
data_GdTmSi4Os2
_cell_length_a 4.4180
_cell_length_b 4.0880
_cell_length_c 8.1324
_cell_angle_alpha 90.00
_cell_angle_beta 101.88
_cell_angle_gamma 90.00
_space_group_name_H-M_alt 'P 1'
_space_group_IT_number 1
_space_group_name_Hall 'P 1'
loop_
_atom_site_label
_atom_site_type_symbol
_atom_site_fract_x
_atom_site_fract_y
_atom_site_fract_z
Gd1 Gd 0.0000 0.0000 0.0000
Tm1 Tm 0.8206 0.5000 0.5946
Si1 Si 0.0782 0.5000 0.2953
Si2 Si 0.3770 0.0000 0.7108
Si3 Si 0.4502 0.5000 0.8885
Si4 Si 0.7515 0.0000 0.3065
Os1 Os 0.3007 0.0000 0.4171
Os2 Os 0.5298 0.5000 0.1845
```


Theoretical X-ray diffraction stick pattern of Mg3GaPt for copper Kα, from a GGA-PBE-relaxed structure.
No peak broadening, texture or thermal motion is included.

Largest 10 diffraction maxima, by angle, 10 to 90 degrees two-theta:
2θ (°)  d (Å)  I/Imax
15.69  5.649  100
27.35  3.261  58
31.67  2.825  28
35.33  2.540  34
42.16  2.143  61
42.33  2.135  22
45.25  2.004  15
48.34  1.883  23
53.68  1.707  16
66.04  1.415  15

Atomic structure:
```
data_Mg3GaPt
_cell_length_a 6.5227
_cell_length_b 6.5227
_cell_length_c 5.6879
_cell_angle_alpha 90.00
_cell_angle_beta 90.00
_cell_angle_gamma 120.00
_space_group_name_H-M_alt 'P 1'
_space_group_IT_number 1
_space_group_name_Hall 'P 1'
loop_
_atom_site_label
_atom_site_type_symbol
_atom_site_fract_x
_atom_site_fract_y
_atom_site_fract_z
Mg1 Mg 0.0310 0.2971 0.2500
Mg2 Mg 0.0310 0.7339 0.7500
Mg3 Mg 0.2661 0.2971 0.7500
Mg4 Mg 0.2661 0.9690 0.2500
Mg5 Mg 0.7029 0.7339 0.2500
Mg6 Mg 0.7029 0.9690 0.7500
Ga1 Ga 0.6667 0.3333 0.0000
Ga2 Ga 0.6667 0.3333 0.5000
Pt1 Pt 0.3333 0.6667 0.0000
Pt2 Pt 0.3333 0.6667 0.5000
```


Theoretical X-ray diffraction stick pattern of GdGaGe2O7 for copper Kα, from a GGA-PBE-relaxed structure.
No peak broadening, texture or thermal motion is included.

Largest 10 diffraction maxima, by angle, 10 to 90 degrees two-theta:
2θ (°)  d (Å)  I/Imax
15.64  5.666  24
28.00  3.187  36
28.27  3.157  100
29.96  2.983  66
31.20  2.867  40
31.69  2.824  40
33.33  2.688  31
36.27  2.477  28
45.20  2.006  23
51.62  1.771  27

Atomic structure:
```
data_GdGaGe2O7
_cell_length_a 7.1273
_cell_length_b 6.5763
_cell_length_c 12.7498
_cell_angle_alpha 90.00
_cell_angle_beta 117.63
_cell_angle_gamma 90.00
_space_group_name_H-M_alt 'P 1'
_space_group_IT_number 1
_space_group_name_Hall 'P 1'
loop_
_atom_site_label
_atom_site_type_symbol
_atom_site_fract_x
_atom_site_fract_y
_atom_site_fract_z
Gd1 Gd 0.2376 0.1455 0.4748
Gd2 Gd 0.2376 0.3545 0.9748
Gd3 Gd 0.7624 0.6455 0.0252
Gd4 Gd 0.7624 0.8545 0.5252
Ga1 Ga 0.2105 0.0999 0.7313
Ga2 Ga 0.2105 0.4001 0.2313
Ga3 Ga 0.7895 0.5999 0.7687
Ga4 Ga 0.7895 0.9001 0.2687
Ge1 Ge 0.2177 0.6576 0.4597
Ge2 Ge 0.2177 0.8424 0.9597
Ge3 Ge 0.2976 0.5881 0.7236
Ge4 Ge 0.2976 0.9119 0.2236
Ge5 Ge 0.7024 0.0881 0.7764
Ge6 Ge 0.7024 0.4119 0.2764
Ge7 Ge 0.7823 0.1576 0.0403
Ge8 Ge 0.7823 0.3424 0.5403
O1 O 0.0097 0.6602 0.9261
O2 O 0.0097 0.8398 0.4261
O3 O 0.1468 0.6880 0.1850
O4 O 0.1468 0.8120 0.6850
O5 O 0.2120 0.0544 0.8754
O6 O 0.2122 0.1114 0.2817
O7 O 0.2122 0.3886 0.7817
O8 O 0.2120 0.4456 0.3754
O9 O 0.2567 0.0040 0.0805
O10 O 0.2567 0.4960 0.5805
O11 O 0.4123 0.6701 0.9799
O12 O 0.4123 0.8299 0.4799
O13 O 0.4279 0.1236 0.6885
O14 O 0.4279 0.3764 0.1885
O15 O 0.5721 0.6236 0.8115
O16 O 0.5721 0.8764 0.3115
O17 O 0.5877 0.1701 0.5201
O18 O 0.5877 0.3299 0.0201
O19 O 0.7433 0.5040 0.4195
O20 O 0.7433 0.9960 0.9195
O21 O 0.7880 0.5544 0.6246
O22 O 0.7878 0.6114 0.2183
O23 O 0.7878 0.8886 0.7183
O24 O 0.7880 0.9456 0.1246
O25 O 0.8532 0.1880 0.3150
O26 O 0.8532 0.3120 0.8150
O27 O 0.9903 0.1602 0.5739
O28 O 0.9903 0.3398 0.0739
```


Theoretical X-ray diffraction stick pattern of La2Os3W2 for copper Kα, from a GGA-PBE-relaxed structure.
No peak broadening, texture or thermal motion is included.

Largest 10 diffraction maxima, by angle, 10 to 90 degrees two-theta:
2θ (°)  d (Å)  I/Imax
12.14  7.293  10
23.10  3.851  11
36.09  2.489  8
37.88  2.375  100
39.57  2.278  81
55.93  1.644  30
68.41  1.371  18
69.54  1.352  31
72.89  1.298  10
80.95  1.188  11

Atomic structure:
```
data_La2Os3W2
_cell_length_a 7.7922
_cell_length_b 7.7922
_cell_length_c 7.7922
_cell_angle_alpha 35.50
_cell_angle_beta 35.50
_cell_angle_gamma 35.50
_space_group_name_H-M_alt 'P 1'
_space_group_IT_number 1
_space_group_name_Hall 'P 1'
loop_
_atom_site_label
_atom_site_type_symbol
_atom_site_fract_x
_atom_site_fract_y
_atom_site_fract_z
La1 La 0.0000 0.0000 0.0000
La2 La 0.4801 0.4801 0.4801
Os1 Os 0.3541 0.3541 0.3541
Os2 Os 0.6090 0.6090 0.6090
Os3 Os 0.8584 0.8584 0.8584
W1 W 0.2389 0.2389 0.2389
W2 W 0.7383 0.7383 0.7383
```